No. 1
Computed PXRD pattern
Compound: Er3Sn4Au3
Radiation: a wavelength of 1.5418 Å
Structure: DFT lattice parameters and positions (PBE)
Neutral-atom scattering factors, no anomalous dispersion.

The 6 most intense peaks (15° ≤ 2θ ≤ 90°), most intense first:
- 2θ 33.86, I 100
- 2θ 40.74, I 50
- 2θ 21.98, I 21
- 2θ 50.47, I 17
- 2θ 44.83, I 14
- 2θ 69.78, I 12

Cell and atoms:
```
data_Er3Sn4Au3
_chemical_formula_sum 'Er6 Sn8 Au6'
_symmetry_space_group_name_H-M 'P 1'
_symmetry_Int_Tables_number 1
_cell_length_a 8.5775
_cell_length_b 8.5775
_cell_length_c 8.5775
_cell_angle_alpha 109.47
_cell_angle_beta 109.47
_cell_angle_gamma 109.47
loop_
_symmetry_equiv_pos_as_xyz
'x,y,z'
loop_
_atom_site_label
_atom_site_type_symbol
_atom_site_fract_x
_atom_site_fract_y
_atom_site_fract_z
Er1 Er 0.1250 0.7500 0.8750
Er2 Er 0.2500 0.6250 0.3750
Er3 Er 0.3750 0.2500 0.6250
Er4 Er 0.6250 0.3750 0.2500
Er5 Er 0.7500 0.8750 0.1250
Er6 Er 0.8750 0.1250 0.7500
Sn1 Sn 0.0000 0.3222 0.5000
Sn2 Sn 0.0000 0.8222 0.5000
Sn3 Sn 0.1778 0.1778 0.1778
Sn4 Sn 0.3222 0.5000 0.0000
Sn5 Sn 0.5000 0.0000 0.3222
Sn6 Sn 0.5000 0.0000 0.8222
Sn7 Sn 0.6778 0.6778 0.6778
Sn8 Sn 0.8222 0.5000 0.0000
Au1 Au 0.1250 0.8750 0.2500
Au2 Au 0.2500 0.1250 0.8750
Au3 Au 0.3750 0.6250 0.7500
Au4 Au 0.6250 0.7500 0.3750
Au5 Au 0.7500 0.3750 0.6250
Au6 Au 0.8750 0.2500 0.1250
```


No. 2
Computed PXRD pattern
Compound: Tb3Er3Au4
Radiation: a wavelength of 1.5418 Å
Structure: DFT lattice parameters and positions (PBE)
Neutral-atom scattering factors, no anomalous dispersion.

The 6 most intense peaks (15° ≤ 2θ ≤ 90°), most intense first:
- 2θ 34.23, I 100
- 2θ 34.04, I 99
- 2θ 34.60, I 50
- 2θ 34.88, I 48
- 2θ 32.27, I 30
- 2θ 48.15, I 26

Cell and atoms:
```
data_Tb3Er3Au4
_chemical_formula_sum 'Tb3 Er3 Au4'
_symmetry_space_group_name_H-M 'P 1'
_symmetry_Int_Tables_number 1
_cell_length_a 3.7799
_cell_length_b 8.1667
_cell_length_c 8.1667
_cell_angle_alpha 90.75
_cell_angle_beta 90.00
_cell_angle_gamma 90.00
loop_
_symmetry_equiv_pos_as_xyz
'x,y,z'
loop_
_atom_site_label
_atom_site_type_symbol
_atom_site_fract_x
_atom_site_fract_y
_atom_site_fract_z
Tb1 Tb 0.0000 0.0000 0.0000
Tb2 Tb 0.0000 0.1766 0.5032
Tb3 Tb 0.0000 0.5032 0.1766
Er1 Er 0.0000 0.6740 0.6740
Er2 Er 0.5000 0.3390 0.8395
Er3 Er 0.5000 0.8395 0.3390
Au1 Au 0.5000 0.2054 0.2054
Au2 Au 0.5000 0.4738 0.4738
Au3 Au 0.5000 0.7031 0.9682
Au4 Au 0.5000 0.9682 0.7031
```


No. 3
Computed PXRD pattern
Compound: TbErZnAu
Radiation: a wavelength of 1.5418 Å
Structure: DFT lattice parameters and positions (PBE)
Neutral-atom scattering factors, no anomalous dispersion.

The 6 most intense peaks (15° ≤ 2θ ≤ 90°), most intense first:
- 2θ 35.46, I 100
- 2θ 63.67, I 37
- 2θ 51.03, I 18
- 2θ 85.85, I 16
- 2θ 75.05, I 11
- 2θ 21.50, I 10

Cell and atoms:
```
data_TbErZnAu
_chemical_formula_sum 'Tb1 Er1 Zn1 Au1'
_symmetry_space_group_name_H-M 'P 1'
_symmetry_Int_Tables_number 1
_cell_length_a 5.0626
_cell_length_b 5.0626
_cell_length_c 5.0626
_cell_angle_alpha 60.00
_cell_angle_beta 60.00
_cell_angle_gamma 60.00
loop_
_symmetry_equiv_pos_as_xyz
'x,y,z'
loop_
_atom_site_label
_atom_site_type_symbol
_atom_site_fract_x
_atom_site_fract_y
_atom_site_fract_z
Tb1 Tb 0.0000 0.0000 0.0000
Er1 Er 0.5000 0.5000 0.5000
Zn1 Zn 0.7500 0.7500 0.7500
Au1 Au 0.2500 0.2500 0.2500
```


No. 4
Computed PXRD pattern
Compound: Er6Te5Au
Radiation: a wavelength of 1.5418 Å
Structure: DFT lattice parameters and positions (PBE)
Neutral-atom scattering factors, no anomalous dispersion.

The 6 most intense peaks (15° ≤ 2θ ≤ 90°), most intense first:
- 2θ 29.18, I 100
- 2θ 41.83, I 36
- 2θ 41.66, I 36
- 2θ 51.81, I 19
- 2θ 68.45, I 15
- 2θ 68.69, I 15

Cell and atoms:
```
data_Er6Te5Au
_chemical_formula_sum 'Er6 Te5 Au1'
_symmetry_space_group_name_H-M 'P 1'
_symmetry_Int_Tables_number 1
_cell_length_a 7.4867
_cell_length_b 7.4867
_cell_length_c 7.4865
_cell_angle_alpha 99.55
_cell_angle_beta 99.55
_cell_angle_gamma 119.74
loop_
_symmetry_equiv_pos_as_xyz
'x,y,z'
loop_
_atom_site_label
_atom_site_type_symbol
_atom_site_fract_x
_atom_site_fract_y
_atom_site_fract_z
Er1 Er 0.0754 0.3827 0.7299
Er2 Er 0.2247 0.2247 0.2599
Er3 Er 0.3827 0.0754 0.7299
Er4 Er 0.6173 0.9246 0.2701
Er5 Er 0.7753 0.7753 0.7401
Er6 Er 0.9246 0.6173 0.2701
Te1 Te 0.1793 0.8207 0.0000
Te2 Te 0.3365 0.6635 0.5000
Te3 Te 0.5000 0.5000 0.0000
Te4 Te 0.6635 0.3365 0.5000
Te5 Te 0.8207 0.1793 0.0000
Au1 Au 0.0000 0.0000 0.5000
```


No. 5
Computed PXRD pattern
Compound: ErTh3Au7
Radiation: a wavelength of 1.5418 Å
Structure: DFT lattice parameters and positions (PBE)
Neutral-atom scattering factors, no anomalous dispersion.

The 6 most intense peaks (15° ≤ 2θ ≤ 90°), most intense first:
- 2θ 31.49, I 100
- 2θ 42.92, I 63
- 2θ 34.14, I 61
- 2θ 47.50, I 33
- 2θ 36.56, I 27
- 2θ 33.70, I 27

Cell and atoms:
```
data_ErTh3Au7
_chemical_formula_sum 'Er2 Th6 Au14'
_symmetry_space_group_name_H-M 'P 1'
_symmetry_Int_Tables_number 1
_cell_length_a 11.0343
_cell_length_b 11.0343
_cell_length_c 12.9637
_cell_angle_alpha 90.00
_cell_angle_beta 90.00
_cell_angle_gamma 160.02
loop_
_symmetry_equiv_pos_as_xyz
'x,y,z'
loop_
_atom_site_label
_atom_site_type_symbol
_atom_site_fract_x
_atom_site_fract_y
_atom_site_fract_z
Er1 Er 0.0158 0.9842 0.7500
Er2 Er 0.9842 0.0158 0.2500
Th1 Th 0.1352 0.8648 0.0556
Th2 Th 0.1352 0.8648 0.4444
Th3 Th 0.2181 0.7819 0.7500
Th4 Th 0.7819 0.2181 0.2500
Th5 Th 0.8648 0.1352 0.5556
Th6 Th 0.8648 0.1352 0.9444
Au1 Au 0.2743 0.7257 0.0700
Au2 Au 0.2743 0.7257 0.4300
Au3 Au 0.3720 0.6280 0.7500
Au4 Au 0.3969 0.6031 0.1385
Au5 Au 0.3969 0.6031 0.3615
Au6 Au 0.4718 0.5282 0.5921
Au7 Au 0.4718 0.5282 0.9079
Au8 Au 0.5282 0.4718 0.0921
Au9 Au 0.5282 0.4718 0.4079
Au10 Au 0.6031 0.3969 0.6385
Au11 Au 0.6031 0.3969 0.8615
Au12 Au 0.6280 0.3720 0.2500
Au13 Au 0.7257 0.2743 0.5700
Au14 Au 0.7257 0.2743 0.9300
```


No. 6
Computed PXRD pattern
Compound: Er3Tl2Au2
Radiation: a wavelength of 1.5418 Å
Structure: DFT lattice parameters and positions (PBE)
Neutral-atom scattering factors, no anomalous dispersion.

The 6 most intense peaks (15° ≤ 2θ ≤ 90°), most intense first:
- 2θ 34.79, I 100
- 2θ 32.77, I 94
- 2θ 35.35, I 57
- 2θ 64.32, I 39
- 2θ 40.47, I 37
- 2θ 54.80, I 33

Cell and atoms:
```
data_Er3Tl2Au2
_chemical_formula_sum 'Er3 Tl2 Au2'
_symmetry_space_group_name_H-M 'P 1'
_symmetry_Int_Tables_number 1
_cell_length_a 11.2836
_cell_length_b 11.2836
_cell_length_c 3.5019
_cell_angle_alpha 90.00
_cell_angle_beta 90.00
_cell_angle_gamma 157.21
loop_
_symmetry_equiv_pos_as_xyz
'x,y,z'
loop_
_atom_site_label
_atom_site_type_symbol
_atom_site_fract_x
_atom_site_fract_y
_atom_site_fract_z
Er1 Er 0.0000 0.0000 0.0000
Er2 Er 0.1677 0.8323 0.0000
Er3 Er 0.8323 0.1677 0.0000
Tl1 Tl 0.4220 0.5780 0.5000
Tl2 Tl 0.5780 0.4220 0.5000
Au1 Au 0.2879 0.7121 0.5000
Au2 Au 0.7121 0.2879 0.5000
```


No. 7
Computed PXRD pattern
Compound: Er3TmAu4
Radiation: a wavelength of 1.5418 Å
Structure: DFT lattice parameters and positions (PBE)
Neutral-atom scattering factors, no anomalous dispersion.

The 6 most intense peaks (15° ≤ 2θ ≤ 90°), most intense first:
- 2θ 35.37, I 100
- 2θ 34.50, I 65
- 2θ 33.04, I 44
- 2θ 36.36, I 44
- 2θ 38.26, I 34
- 2θ 48.51, I 31

Cell and atoms:
```
data_Er3TmAu4
_chemical_formula_sum 'Er3 Tm1 Au4'
_symmetry_space_group_name_H-M 'P 1'
_symmetry_Int_Tables_number 1
_cell_length_a 7.6118
_cell_length_b 7.6118
_cell_length_c 5.4263
_cell_angle_alpha 108.79
_cell_angle_beta 108.79
_cell_angle_gamma 39.94
loop_
_symmetry_equiv_pos_as_xyz
'x,y,z'
loop_
_atom_site_label
_atom_site_type_symbol
_atom_site_fract_x
_atom_site_fract_y
_atom_site_fract_z
Er1 Er 0.0000 0.0000 0.0000
Er2 Er 0.1764 0.1764 0.6011
Er3 Er 0.8236 0.8236 0.3989
Tm1 Tm 0.5000 0.5000 0.5000
Au1 Au 0.2595 0.2595 0.1834
Au2 Au 0.3917 0.3917 0.8708
Au3 Au 0.6083 0.6083 0.1292
Au4 Au 0.7405 0.7405 0.8166
```


No. 8
Computed PXRD pattern
Compound: Er3TmAu4
Radiation: a wavelength of 1.5418 Å
Structure: DFT lattice parameters and positions (PBE)
Neutral-atom scattering factors, no anomalous dispersion.

The 6 most intense peaks (15° ≤ 2θ ≤ 90°), most intense first:
- 2θ 35.70, I 100
- 2θ 35.46, I 51
- 2θ 63.83, I 38
- 2θ 64.28, I 18
- 2θ 51.03, I 18
- 2θ 75.62, I 12

Cell and atoms:
```
data_Er3TmAu4
_chemical_formula_sum 'Er3 Tm1 Au4'
_symmetry_space_group_name_H-M 'P 1'
_symmetry_Int_Tables_number 1
_cell_length_a 3.5347
_cell_length_b 5.0623
_cell_length_c 10.1256
_cell_angle_alpha 90.00
_cell_angle_beta 90.00
_cell_angle_gamma 90.00
loop_
_symmetry_equiv_pos_as_xyz
'x,y,z'
loop_
_atom_site_label
_atom_site_type_symbol
_atom_site_fract_x
_atom_site_fract_y
_atom_site_fract_z
Er1 Er 0.0000 0.0000 0.0000
Er2 Er 0.0000 0.5000 0.2503
Er3 Er 0.0000 0.5000 0.7497
Tm1 Tm 0.0000 0.0000 0.5000
Au1 Au 0.5000 0.0000 0.2512
Au2 Au 0.5000 0.0000 0.7488
Au3 Au 0.5000 0.5000 0.0000
Au4 Au 0.5000 0.5000 0.5000
```


No. 9
Computed PXRD pattern
Compound: Y2ErAu
Radiation: a wavelength of 1.5418 Å
Structure: DFT lattice parameters and positions (PBE)
Neutral-atom scattering factors, no anomalous dispersion.

The 6 most intense peaks (15° ≤ 2θ ≤ 90°), most intense first:
- 2θ 31.62, I 100
- 2θ 31.09, I 94
- 2θ 18.23, I 67
- 2θ 32.51, I 65
- 2θ 42.29, I 40
- 2θ 36.94, I 39

Cell and atoms:
```
data_Y2ErAu
_chemical_formula_sum 'Y8 Er4 Au4'
_symmetry_space_group_name_H-M 'P 1'
_symmetry_Int_Tables_number 1
_cell_length_a 6.9564
_cell_length_b 9.7333
_cell_length_c 6.6798
_cell_angle_alpha 90.00
_cell_angle_beta 90.00
_cell_angle_gamma 90.00
loop_
_symmetry_equiv_pos_as_xyz
'x,y,z'
loop_
_atom_site_label
_atom_site_type_symbol
_atom_site_fract_x
_atom_site_fract_y
_atom_site_fract_z
Y1 Y 0.1978 0.0549 0.1959
Y2 Y 0.1978 0.4451 0.1959
Y3 Y 0.3022 0.5549 0.6959
Y4 Y 0.3022 0.9451 0.6959
Y5 Y 0.6978 0.0549 0.3041
Y6 Y 0.6978 0.4451 0.3041
Y7 Y 0.8022 0.5549 0.8041
Y8 Y 0.8022 0.9451 0.8041
Er1 Er 0.0165 0.2500 0.6174
Er2 Er 0.4835 0.7500 0.1174
Er3 Er 0.5165 0.2500 0.8826
Er4 Er 0.9835 0.7500 0.3826
Au1 Au 0.0863 0.7500 0.9665
Au2 Au 0.4137 0.2500 0.4665
Au3 Au 0.5863 0.7500 0.5335
Au4 Au 0.9137 0.2500 0.0335
```


No. 10
Computed PXRD pattern
Compound: Y5ErAu6
Radiation: a wavelength of 1.5418 Å
Structure: DFT lattice parameters and positions (PBE)
Neutral-atom scattering factors, no anomalous dispersion.

The 6 most intense peaks (15° ≤ 2θ ≤ 90°), most intense first:
- 2θ 35.33, I 100
- 2θ 35.00, I 26
- 2θ 35.11, I 25
- 2θ 63.00, I 19
- 2θ 63.13, I 19
- 2θ 50.42, I 18

Cell and atoms:
```
data_Y5ErAu6
_chemical_formula_sum 'Y5 Er1 Au6'
_symmetry_space_group_name_H-M 'P 1'
_symmetry_Int_Tables_number 1
_cell_length_a 8.8503
_cell_length_b 8.8503
_cell_length_c 5.1122
_cell_angle_alpha 106.70
_cell_angle_beta 106.70
_cell_angle_gamma 47.51
loop_
_symmetry_equiv_pos_as_xyz
'x,y,z'
loop_
_atom_site_label
_atom_site_type_symbol
_atom_site_fract_x
_atom_site_fract_y
_atom_site_fract_z
Y1 Y 0.0000 0.0000 0.0000
Y2 Y 0.1662 0.1662 0.6664
Y3 Y 0.3326 0.3326 0.3326
Y4 Y 0.6674 0.6674 0.6674
Y5 Y 0.8338 0.8338 0.3336
Er1 Er 0.5000 0.5000 0.0000
Au1 Au 0.0878 0.5824 0.8350
Au2 Au 0.2553 0.7447 0.5000
Au3 Au 0.4176 0.9122 0.1650
Au4 Au 0.5824 0.0878 0.8350
Au5 Au 0.7447 0.2553 0.5000
Au6 Au 0.9122 0.4176 0.1650
```


No. 11
Computed PXRD pattern
Compound: Er3Zn4Au4
Radiation: a wavelength of 1.5418 Å
Structure: DFT lattice parameters and positions (PBE)
Neutral-atom scattering factors, no anomalous dispersion.

The 6 most intense peaks (15° ≤ 2θ ≤ 90°), most intense first:
- 2θ 35.02, I 100
- 2θ 33.70, I 88
- 2θ 33.25, I 80
- 2θ 41.06, I 67
- 2θ 40.30, I 60
- 2θ 40.49, I 58

Cell and atoms:
```
data_Er3Zn4Au4
_chemical_formula_sum 'Er3 Zn4 Au4'
_symmetry_space_group_name_H-M 'P 1'
_symmetry_Int_Tables_number 1
_cell_length_a 3.5120
_cell_length_b 4.3965
_cell_length_c 14.5193
_cell_angle_alpha 98.41
_cell_angle_beta 96.93
_cell_angle_gamma 90.11
loop_
_symmetry_equiv_pos_as_xyz
'x,y,z'
loop_
_atom_site_label
_atom_site_type_symbol
_atom_site_fract_x
_atom_site_fract_y
_atom_site_fract_z
Er1 Er 0.0000 0.0000 0.0000
Er2 Er 0.1441 0.6421 0.2862
Er3 Er 0.8559 0.3579 0.7138
Zn1 Zn 0.2598 0.2604 0.5173
Zn2 Zn 0.4042 0.9061 0.8095
Zn3 Zn 0.5958 0.0939 0.1905
Zn4 Zn 0.7402 0.7396 0.4827
Au1 Au 0.3121 0.8151 0.6276
Au2 Au 0.4514 0.4507 0.9015
Au3 Au 0.5486 0.5493 0.0985
Au4 Au 0.6879 0.1849 0.3724
```


No. 12
Computed PXRD pattern
Compound: ErZn9Au2
Radiation: a wavelength of 1.5418 Å
Structure: DFT lattice parameters and positions (PBE)
Neutral-atom scattering factors, no anomalous dispersion.

The 6 most intense peaks (15° ≤ 2θ ≤ 90°), most intense first:
- 2θ 41.37, I 100
- 2θ 35.47, I 87
- 2θ 20.34, I 55
- 2θ 46.40, I 44
- 2θ 63.90, I 34
- 2θ 75.07, I 33

Cell and atoms:
```
data_ErZn9Au2
_chemical_formula_sum 'Er1 Zn9 Au2'
_symmetry_space_group_name_H-M 'P 1'
_symmetry_Int_Tables_number 1
_cell_length_a 8.7307
_cell_length_b 8.7307
_cell_length_c 3.1057
_cell_angle_alpha 90.00
_cell_angle_beta 90.00
_cell_angle_gamma 120.00
loop_
_symmetry_equiv_pos_as_xyz
'x,y,z'
loop_
_atom_site_label
_atom_site_type_symbol
_atom_site_fract_x
_atom_site_fract_y
_atom_site_fract_z
Er1 Er 0.0000 0.0000 0.0000
Zn1 Zn 0.0000 0.5000 0.0000
Zn2 Zn 0.1798 0.3595 0.5000
Zn3 Zn 0.1798 0.8202 0.5000
Zn4 Zn 0.3595 0.1798 0.5000
Zn5 Zn 0.5000 0.0000 0.0000
Zn6 Zn 0.5000 0.5000 0.0000
Zn7 Zn 0.6405 0.8202 0.5000
Zn8 Zn 0.8202 0.1798 0.5000
Zn9 Zn 0.8202 0.6405 0.5000
Au1 Au 0.3333 0.6667 0.0000
Au2 Au 0.6667 0.3333 0.0000
```